Structure and simulated powder diffraction line list of Li2Fe3F8 (a crystal structure in Alexandria, relaxed with PBE+U; Cu Kα (weighted mean of Kα1 and Kα2)).
Kinematic intensities with the Lorentz-polarization factor, no thermal factor.

Peak list (10 most intense, 10 to 90 degrees two-theta, by intensity)
d 4.021, I = 1000, hkl 1 2 0; d 3.697, I = 859, hkl 1 2 -1; d 3.102, I = 499, hkl 0 3 1; d 2.807, I = 437, hkl 2 1 -1; d 3.747, I = 433, hkl 0 2 1; d 2.669, I = 382, hkl 1 4 0; d 2.873, I = 366, hkl 1 1 1; d 4.865, I = 268, hkl 1 1 0; d 1.849, I = 246, hkl 2 4 -2; d 2.569, I = 224, hkl 1 4 -1

abc: 5.833 12.375 5.191
angles: 90.00 114.89 90.00
Fractional coordinates of all 26 atoms:
Li (0.214, 0.116, 0.151)
Li (0.214, 0.384, 0.651)
Li (0.786, 0.616, 0.349)
Li (0.786, 0.884, 0.849)
Fe (0.000, 0.000, 0.500)
Fe (0.000, 0.500, 0.000)
Fe (0.394, 0.652, 0.668)
Fe (0.394, 0.848, 0.168)
Fe (0.606, 0.152, 0.832)
Fe (0.606, 0.348, 0.332)
F (0.096, 0.644, 0.290)
F (0.096, 0.856, 0.790)
F (0.227, 0.527, 0.795)
F (0.227, 0.973, 0.295)
F (0.276, 0.085, 0.826)
F (0.276, 0.415, 0.326)
F (0.466, 0.203, 0.427)
F (0.466, 0.297, 0.927)
F (0.534, 0.703, 0.073)
F (0.534, 0.797, 0.573)
F (0.724, 0.585, 0.674)
F (0.724, 0.915, 0.174)
F (0.773, 0.027, 0.705)
F (0.773, 0.473, 0.205)
F (0.904, 0.144, 0.210)
F (0.904, 0.356, 0.710)